Calculated powder diffraction line list
Compound: AcDy5Ag6
Radiation: λ = 1.5418 Å (Cu Kα)
Structure: a structure optimized by DFT (GGA-PBE)
No peak broadening, texture or thermal motion is included.

Crystal structure
a b c (Å): 9.080 9.080 9.080
angles (deg): 146.45 132.55 59.37
Element x y z (fractional)
Ac: 0.000 0.000 0.000
Dy: 0.166 0.666 0.500
Dy: 0.331 0.331 0.000
Dy: 0.500 0.000 0.500
Dy: 0.669 0.669 0.000
Dy: 0.834 0.334 0.500
Ag: 0.089 0.827 0.263
Ag: 0.277 0.500 0.777
Ag: 0.436 0.173 0.263
Ag: 0.564 0.827 0.737
Ag: 0.723 0.500 0.223
Ag: 0.911 0.173 0.737

Largest 10 diffraction maxima, sorted by position, 2θ from 10° to 90°:
two_theta	I_rel
34.10	26
34.22	26
34.44	100
49.08	18
49.92	8
61.26	18
61.41	18
61.88	17
72.61	10
82.24	12

Calculated powder diffraction line list
Compound: Pr4PtAuS2
Radiation: λ = 1.5418 Å (Cu Kα)
Structure: a structure optimized by DFT (GGA-PBE)
No peak broadening, texture or thermal motion is included.

Crystal structure
a b c (Å): 7.164 4.122 7.619
angles (deg): 90.00 107.99 90.00
Element x y z (fractional)
Pr: 0.239 0.000 0.242
Pr: 0.245 0.500 0.752
Pr: 0.755 0.500 0.248
Pr: 0.761 0.000 0.758
Pt: 0.000 0.000 0.500
Au: 0.500 0.500 0.500
S: 0.000 0.500 0.000
S: 0.500 0.000 0.000

Largest 10 diffraction maxima, sorted by position, 2θ from 10° to 90°:
two_theta	I_rel
12.21	22
25.24	15
29.91	100
41.62	13
41.81	27
43.81	23
43.93	12
54.08	13
69.06	12
71.94	11

Calculated powder diffraction line list
Compound: Th3Cd4Pd4
Radiation: λ = 1.5418 Å (Cu Kα)
Structure: a structure optimized by DFT (GGA-PBE)
No peak broadening, texture or thermal motion is included.

Crystal structure
a b c (Å): 8.973 8.973 8.973
angles (deg): 154.42 125.83 60.83
Element x y z (fractional)
Th: 0.000 0.000 0.000
Th: 0.383 0.883 0.500
Th: 0.617 0.117 0.500
Cd: 0.017 0.330 0.686
Cd: 0.356 0.670 0.686
Cd: 0.644 0.330 0.314
Cd: 0.983 0.670 0.314
Pd: 0.245 0.245 0.000
Pd: 0.304 0.500 0.804
Pd: 0.696 0.500 0.196
Pd: 0.755 0.755 0.000

Largest 10 diffraction maxima, sorted by position, 2θ from 10° to 90°:
two_theta	I_rel
30.89	28
31.95	89
34.16	100
36.81	15
37.34	44
44.33	18
45.67	26
52.36	23
60.41	21
66.41	22

Calculated powder diffraction line list
Compound: La2Se3
Radiation: λ = 1.5418 Å (Cu Kα)
Structure: a structure optimized by DFT (GGA-PBE)
No peak broadening, texture or thermal motion is included.

Crystal structure
a b c (Å): 15.052 15.052 15.052
angles (deg): 144.81 144.81 50.61
Element x y z (fractional)
La: 0.047 0.153 0.621
La: 0.166 0.166 0.000
La: 0.176 0.782 0.879
La: 0.218 0.097 0.394
La: 0.255 0.625 0.130
La: 0.375 0.505 0.630
La: 0.495 0.125 0.870
La: 0.532 0.426 0.379
La: 0.574 0.953 0.106
La: 0.584 0.084 0.500
La: 0.703 0.824 0.606
La: 0.834 0.834 0.000
La: 0.847 0.468 0.894
La: 0.875 0.745 0.370
La: 0.903 0.297 0.121
La: 0.916 0.416 0.500
Se: 0.005 0.758 0.898
Se: 0.072 0.466 0.246
Se: 0.174 0.928 0.394
Se: 0.186 0.436 0.090
Se: 0.186 0.436 0.590
Se: 0.216 0.322 0.746
Se: 0.220 0.826 0.754
Se: 0.242 0.140 0.247
Se: 0.346 0.096 0.910
Se: 0.404 0.814 0.249
Se: 0.508 0.255 0.398
Se: 0.530 0.784 0.106
Se: 0.534 0.780 0.606
Se: 0.564 0.154 0.751
Se: 0.564 0.654 0.749
Se: 0.576 0.470 0.254
Se: 0.678 0.424 0.894
Se: 0.745 0.142 0.253
Se: 0.846 0.596 0.410
Se: 0.858 0.110 0.602
Se: 0.860 0.108 0.102
Se: 0.890 0.492 0.747
Se: 0.892 0.995 0.753
Se: 0.904 0.814 0.251

Largest 10 diffraction maxima, sorted by position, 2θ from 10° to 90°:
two_theta	I_rel
23.99	19
31.11	100
37.01	68
44.55	14
46.88	14
49.10	12
51.25	17
63.00	10
63.14	10
77.04	10

Calculated powder diffraction line list
Compound: Sm5ScCd3
Radiation: λ = 1.5418 Å (Cu Kα)
Structure: a structure optimized by DFT (GGA-PBE)
No peak broadening, texture or thermal motion is included.

Crystal structure
a b c (Å): 9.303 9.303 6.886
angles (deg): 90.00 90.00 120.00
Element x y z (fractional)
Sm: 0.000 0.325 0.250
Sm: 0.000 0.675 0.750
Sm: 0.325 0.000 0.250
Sm: 0.325 0.325 0.750
Sm: 0.333 0.667 0.000
Sm: 0.333 0.667 0.500
Sm: 0.667 0.333 0.000
Sm: 0.667 0.333 0.500
Sm: 0.675 0.000 0.750
Sm: 0.675 0.675 0.250
Sc: 0.000 0.000 0.000
Sc: 0.000 0.000 0.500
Cd: 0.000 0.334 0.750
Cd: 0.000 0.666 0.250
Cd: 0.334 0.000 0.750
Cd: 0.334 0.334 0.250
Cd: 0.666 0.000 0.250
Cd: 0.666 0.666 0.750

Largest 10 diffraction maxima, sorted by position, 2θ from 10° to 90°:
two_theta	I_rel
32.35	93
33.37	100
42.70	16
47.16	32
58.99	32
59.63	18
64.27	29
70.08	11
79.31	13
84.01	14

Calculated powder diffraction line list
Compound: Ce3SmOs
Radiation: λ = 1.5418 Å (Cu Kα)
Structure: a structure optimized by DFT (GGA-PBE)
No peak broadening, texture or thermal motion is included.

Crystal structure
a b c (Å): 3.388 6.264 12.095
angles (deg): 89.28 89.48 74.61
Element x y z (fractional)
Ce: 0.051 0.408 0.321
Ce: 0.141 0.218 0.039
Ce: 0.298 0.784 0.499
Ce: 0.702 0.216 0.501
Ce: 0.859 0.782 0.961
Ce: 0.949 0.592 0.679
Sm: 0.234 0.071 0.759
Sm: 0.766 0.929 0.241
Os: 0.469 0.561 0.131
Os: 0.531 0.439 0.869

Largest 10 diffraction maxima, sorted by position, 2θ from 10° to 90°:
two_theta	I_rel
33.02	91
33.28	80
35.22	90
35.32	100
35.47	69
35.61	87
47.77	24
54.14	28
60.50	21
64.70	21

Calculated powder diffraction line list
Compound: KZn2
Radiation: λ = 1.5418 Å (Cu Kα)
Structure: a structure optimized by DFT (GGA-PBE)
No peak broadening, texture or thermal motion is included.

Crystal structure
a b c (Å): 5.089 5.089 12.144
angles (deg): 90.00 90.00 90.00
Element x y z (fractional)
K: 0.000 0.000 0.250
K: 0.000 0.000 0.750
K: 0.500 0.500 0.250
K: 0.500 0.500 0.750
Zn: 0.177 0.323 0.000
Zn: 0.177 0.677 0.500
Zn: 0.323 0.177 0.500
Zn: 0.323 0.823 0.000
Zn: 0.677 0.177 0.000
Zn: 0.677 0.823 0.500
Zn: 0.823 0.323 0.500
Zn: 0.823 0.677 0.000

Largest 10 diffraction maxima, sorted by position, 2θ from 10° to 90°:
two_theta	I_rel
14.59	100
28.84	39
29.42	64
38.35	59
40.31	66
45.73	46
55.31	25
58.24	16
65.66	14
67.94	13

Calculated powder diffraction line list
Compound: Mn2AgGeTe4
Radiation: λ = 1.5418 Å (Cu Kα)
Structure: a structure optimized by DFT (GGA-PBE)
No peak broadening, texture or thermal motion is included.

Crystal structure
a b c (Å): 6.393 6.393 12.487
angles (deg): 90.00 90.00 90.00
Element x y z (fractional)
Mn: 0.000 0.500 0.250
Mn: 0.000 0.500 0.750
Mn: 0.500 0.000 0.250
Mn: 0.500 0.000 0.750
Ag: 0.000 0.000 0.000
Ag: 0.500 0.500 0.500
Ge: 0.000 0.000 0.500
Ge: 0.500 0.500 0.000
Te: 0.247 0.247 0.369
Te: 0.247 0.753 0.631
Te: 0.253 0.253 0.869
Te: 0.253 0.747 0.131
Te: 0.747 0.253 0.131
Te: 0.747 0.747 0.869
Te: 0.753 0.247 0.631
Te: 0.753 0.753 0.369

Largest 10 diffraction maxima, sorted by position, 2θ from 10° to 90°:
two_theta	I_rel
24.31	100
39.88	25
40.38	48
47.26	32
48.13	15
57.68	8
64.23	12
72.76	16
73.77	7
77.68	7

Calculated powder diffraction line list
Compound: ScPd14Pb
Radiation: λ = 1.5418 Å (Cu Kα)
Structure: a structure optimized by DFT (GGA-PBE)
No peak broadening, texture or thermal motion is included.

Crystal structure
a b c (Å): 5.709 5.709 7.882
angles (deg): 90.00 90.00 90.00
Element x y z (fractional)
Sc: 0.000 0.000 0.000
Pd: 0.000 0.000 0.500
Pd: 0.000 0.500 0.000
Pd: 0.000 0.500 0.500
Pd: 0.247 0.247 0.253
Pd: 0.247 0.247 0.747
Pd: 0.247 0.753 0.253
Pd: 0.247 0.753 0.747
Pd: 0.500 0.000 0.000
Pd: 0.500 0.000 0.500
Pd: 0.500 0.500 0.500
Pd: 0.753 0.247 0.253
Pd: 0.753 0.247 0.747
Pd: 0.753 0.753 0.253
Pd: 0.753 0.753 0.747
Pb: 0.500 0.500 0.000

Largest 10 diffraction maxima, sorted by position, 2θ from 10° to 90°:
two_theta	I_rel
15.52	3
19.20	5
38.96	100
44.90	33
46.06	15
65.38	11
66.29	20
78.80	25
80.48	12
83.66	11

Calculated powder diffraction line list
Compound: LiThGe
Radiation: λ = 1.5418 Å (Cu Kα)
Structure: a structure optimized by DFT (GGA-PBE)
No peak broadening, texture or thermal motion is included.

Crystal structure
a b c (Å): 4.417 4.417 11.597
angles (deg): 90.00 90.00 120.00
Element x y z (fractional)
Li: 0.000 0.000 0.000
Li: 0.333 0.667 0.337
Li: 0.333 0.667 0.663
Th: 0.667 0.333 0.165
Th: 0.667 0.333 0.500
Th: 0.667 0.333 0.835
Ge: 0.000 0.000 0.325
Ge: 0.000 0.000 0.675
Ge: 0.333 0.667 0.000

Largest 10 diffraction maxima, sorted by position, 2θ from 10° to 90°:
two_theta	I_rel
23.01	12
23.26	57
32.94	100
40.87	37
47.41	11
47.55	9
53.09	13
53.45	26
64.02	20
69.41	25

Calculated powder diffraction line list
Compound: Tm3ScTe3
Radiation: λ = 1.5418 Å (Cu Kα)
Structure: a structure optimized by DFT (GGA-PBE)
No peak broadening, texture or thermal motion is included.

Crystal structure
a b c (Å): 13.620 4.030 13.630
angles (deg): 90.00 90.00 90.00
Element x y z (fractional)
Tm: 0.042 0.250 0.133
Tm: 0.158 0.750 0.519
Tm: 0.237 0.750 0.804
Tm: 0.263 0.250 0.304
Tm: 0.342 0.250 0.019
Tm: 0.458 0.750 0.633
Tm: 0.542 0.250 0.367
Tm: 0.658 0.750 0.981
Tm: 0.737 0.750 0.696
Tm: 0.763 0.250 0.196
Tm: 0.842 0.250 0.481
Tm: 0.958 0.750 0.867
Sc: 0.071 0.250 0.700
Sc: 0.429 0.750 0.200
Sc: 0.571 0.250 0.800
Sc: 0.929 0.750 0.300
Te: 0.057 0.250 0.379
Te: 0.122 0.250 0.920
Te: 0.216 0.750 0.144
Te: 0.284 0.250 0.644
Te: 0.378 0.750 0.420
Te: 0.443 0.750 0.879
Te: 0.557 0.250 0.121
Te: 0.622 0.250 0.580
Te: 0.716 0.750 0.356
Te: 0.784 0.250 0.856
Te: 0.878 0.750 0.080
Te: 0.943 0.750 0.621

Largest 10 diffraction maxima, sorted by position, 2θ from 10° to 90°:
two_theta	I_rel
29.32	40
30.37	100
32.48	51
34.48	62
35.12	29
36.98	26
40.51	23
42.16	20
44.62	21
44.98	35

Calculated powder diffraction line list
Compound: Rb3Pb11
Radiation: λ = 1.5418 Å (Cu Kα)
Structure: a structure optimized by DFT (GGA-PBE)
No peak broadening, texture or thermal motion is included.

Crystal structure
a b c (Å): 10.012 10.012 10.012
angles (deg): 148.02 102.71 86.08
Element x y z (fractional)
Rb: 0.000 0.000 0.000
Rb: 0.287 0.287 0.000
Rb: 0.713 0.713 0.000
Pb: 0.000 0.362 0.638
Pb: 0.000 0.638 0.362
Pb: 0.129 0.851 0.279
Pb: 0.275 0.638 0.638
Pb: 0.336 0.500 0.836
Pb: 0.428 0.149 0.279
Pb: 0.500 0.000 0.500
Pb: 0.572 0.851 0.721
Pb: 0.664 0.500 0.164
Pb: 0.725 0.362 0.362
Pb: 0.871 0.149 0.721

Largest 10 diffraction maxima, sorted by position, 2θ from 10° to 90°:
two_theta	I_rel
14.17	24
28.28	100
29.50	39
30.17	30
32.46	58
33.51	61
36.50	67
36.85	19
49.89	23
55.42	46